CaCu3Mo4O12: simulated powder X-ray diffraction pattern (a wavelength of 1.5418 Å), based on a crystal structure in the Materials Project, relaxed with PBE+U.
Intensities are scaled so that the largest is 100.

Structure:
```
CaCu3Mo4O12
1.0
6.6439 0.0000 0.0000
-2.2040 6.2717 0.0000
-2.2072 -3.1152 5.4427
Ca Cu Mo O
1 3 4 12
direct
0.0000 0.0000 0.0000
0.0000 0.5000 0.5000
0.5000 0.0000 0.5000
0.5000 0.5000 0.0000
0.0000 0.0000 0.5000
0.0000 0.5000 0.0000
0.5000 0.0000 0.0000
0.5000 0.5000 0.5000
0.1334 0.8341 0.3092
0.1665 0.6895 0.8663
0.1702 0.3038 0.4742
0.3044 0.4749 0.1710
0.3097 0.1337 0.8341
0.4753 0.1707 0.3045
0.5247 0.8293 0.6955
0.6903 0.8663 0.1659
0.6956 0.5251 0.8290
0.8298 0.6962 0.5258
0.8335 0.3105 0.1337
0.8666 0.1659 0.6908
```

Most intense lines, 10° ≤ 2θ ≤ 90°, low angle first:
23.2 deg, rel. 20, hkl 1 1 -1; 32.9 deg, rel. 100, hkl 2 0 0; 33.0 deg, rel. 97, hkl 2 0 -2; 47.3 deg, rel. 48, hkl 2 2 -2; 58.7 deg, rel. 24, hkl 2 2 0; 58.9 deg, rel. 62, hkl 2 2 -4; 59.0 deg, rel. 8, hkl -4 2 2; 69.0 deg, rel. 12, hkl 4 0 0; 69.3 deg, rel. 12, hkl 4 -4 0; 78.7 deg, rel. 17, hkl 4 -2 2; 78.9 deg, rel. 16, hkl 4 2 -4; 88.2 deg, rel. 7, hkl 2 -6 2